For Cs2UCrO6, a structure optimized by DFT (PBE+U) gives the computed PXRD pattern in this record (copper Kα).
Neutral-atom scattering factors, no anomalous dispersion.

Main lines, sorted by position (2θ = 10–90°):
2θ = 17.52°, rel. 51
2θ = 26.44°, rel. 100
2θ = 27.10°, rel. 20
2θ = 27.47°, rel. 96
2θ = 29.17°, rel. 45
2θ = 32.21°, rel. 57
2θ = 44.01°, rel. 42
2θ = 50.08°, rel. 18
2θ = 50.69°, rel. 22
2θ = 53.43°, rel. 30
2θ = 54.42°, rel. 19
2θ = 55.16°, rel. 26

Cell and atoms:
abc: 7.6597 8.0787 12.2444
angles: 90.00 90.00 90.00
Space group Fmm2 (No. 42)
Asymmetric unit:
Cs 0.2500 0.2500 0.0000 (multiplicity 8)
U 0.0000 0.0000 0.2467 (multiplicity 4)
Cr 0.0000 0.0000 0.7606 (multiplicity 4)
O 0.0000 0.0000 0.4069 (multiplicity 4)
O 0.0000 0.0000 0.9014 (multiplicity 4)
O 0.0000 0.2444 0.2434 (multiplicity 8)
O 0.2260 0.0000 0.7025 (multiplicity 8)